This entry pairs a crystal structure of MgGaCoO4 with its computed X-ray powder pattern. Radiation: Cu Kα, 1.54184 Å. Structure: a crystal structure in OQMD, relaxed with GGA+U.
Neutral-atom scattering factors, no anomalous dispersion.

Most intense lines, 10 to 90 degrees two-theta, in order of rising 2θ:
4.745 Å, 2θ = 18.70°, intensity 100, hkl 1 0 1
2.481 Å, 2θ = 36.20°, intensity 78, hkl 2 1 1
2.471 Å, 2θ = 36.36°, intensity 40, hkl 1 0 3
2.372 Å, 2θ = 37.93°, intensity 26, hkl 2 0 2
2.058 Å, 2θ = 43.99°, intensity 46, hkl 2 2 0
2.047 Å, 2θ = 44.26°, intensity 23, hkl 0 0 4
1.584 Å, 2θ = 58.24°, intensity 27, hkl 3 2 1
1.576 Å, 2θ = 58.57°, intensity 13, hkl 1 0 5
1.456 Å, 2θ = 63.96°, intensity 22, hkl 4 0 0
1.451 Å, 2θ = 64.17°, intensity 43, hkl 2 2 4

Cell and atoms:
```
28
Lattice="5.8221 0.0000 0.0000 0.0000 5.8221 0.0000 0.0000 0.0000 8.1864" Properties=species:S:1:pos:R:3 pbc="T T T"
Mg 1.4317 1.4317 3.0699
Mg 1.4317 4.3904 1.0233
Mg 4.3904 1.4317 5.1165
Mg 4.3904 4.3904 7.1631
Ga 1.4363 2.9110 6.1398
Ga 2.9110 1.4363 0.0000
Ga 2.9110 4.3858 4.0932
Ga 4.3858 2.9110 2.0466
Co 0.0000 1.4367 0.0000
Co 0.0000 4.3854 4.0932
Co 1.4367 0.0000 6.1398
Co 4.3854 0.0000 2.0466
O 0.1355 1.4138 6.2641
O 0.1355 4.4083 6.0155
O 1.4138 0.1355 8.0621
O 1.4154 2.7623 8.1329
O 1.4154 3.0598 4.1468
O 1.4138 5.6865 4.2175
O 2.7623 1.4154 6.1934
O 2.7623 4.4067 6.0863
O 3.0598 1.4154 1.9931
O 3.0598 4.4067 2.1002
O 4.4083 0.1355 0.1243
O 4.4067 2.7623 0.0535
O 4.4067 3.0598 4.0397
O 4.4083 5.6865 3.9689
O 5.6865 1.4138 1.9223
O 5.6865 4.4083 2.1709
```